Structure and theoretical X-ray powder pattern of Na3W4O6 (a structure optimized by DFT (PBE+U); Cu Kα, 1.54184 Å).
No peak broadening, texture or thermal motion is included.

Principal peaks in the range 2θ from 10° to 90°, by angle:
| d [Å] | I/Imax |
| --- | --- |
| 3.926 | 100.0 |
| 3.676 | 35.2 |
| 2.778 | 49.6 |
| 2.684 | 80.6 |
| 2.339 | 12.0 |
| 2.216 | 25.6 |
| 1.968 | 12.7 |
| 1.759 | 12.6 |
| 1.587 | 19.0 |
| 1.583 | 14.2 |

```
Na3W4O6
1.0
-3.676 3.936 3.920
3.676 -3.936 3.920
3.676 3.936 -3.920
Na W O
3 4 6
direct
0.000 0.000 0.000
0.436 0.436 0.000
0.515 0.015 0.500
0.473 0.503 0.529
0.473 0.944 0.970
0.974 0.503 0.030
0.974 0.944 0.471
0.247 0.535 0.288
0.247 0.959 0.712
0.434 0.196 0.238
0.704 0.492 0.788
0.704 0.916 0.212
0.958 0.196 0.762
```